Entry 1:
Starting from the PBE geometry in the Materials Project, the XRD peak list of ZnB3Ir4 was computed for λ = 1.5418 Å (Cu Kα).

Peak list (10 most intense, 5 to 70 degrees two-theta, by angle)
two_theta, intensity
30.42, 44
32.03, 55
32.38, 61
33.84, 52
35.04, 30
38.29, 48
39.13, 96
41.88, 82
46.86, 42
49.51, 100

abc: 2.815 2.845 23.504
angles: 90.00 90.00 90.00
Space group Pmmm (No. 47)
Asymmetric unit:
Zn 0.000 0.000 0.000 [1 per cell]
Zn 0.500 0.000 0.500 [1 per cell]
B 0.000 0.000 0.121 [2 per cell]
B 0.000 0.500 0.239 [2 per cell]
B 0.500 0.000 0.376 [2 per cell]
Ir 0.000 0.000 0.306 [2 per cell]
Ir 0.000 0.500 0.416 [2 per cell]
Ir 0.500 0.000 0.196 [2 per cell]
Ir 0.500 0.500 0.084 [2 per cell]

=====

Entry 2:
Starting from the PBE geometry in the Materials Project, the XRD peak list of Zn2CuAu was computed for λ = 1.5418 Å (Cu Kα).

Peak list (10 most intense, 5 to 70 degrees two-theta, by angle)
two_theta, intensity
24.81, 19
25.45, 23
27.44, 15
37.59, 16
38.32, 17
40.05, 37
42.80, 100
43.46, 34
56.63, 11
68.81, 13

abc: 4.503 5.561 4.697
angles: 90.00 90.00 90.00
Space group Pmmn (No. 59, origin choice 2)
Asymmetric unit:
Zn 0.250 0.000 0.181 [4 per cell]
Cu 0.250 0.250 0.686 [2 per cell]
Au 0.250 0.750 0.678 [2 per cell]

=====

Entry 3:
Starting from the PBE geometry in the Materials Project, the XRD peak list of CaSn4O8 was computed for λ = 1.5418 Å (Cu Kα).

Peak list (10 most intense, 5 to 70 degrees two-theta, by angle)
two_theta, intensity
11.05, 66
17.74, 87
28.21, 47
29.17, 81
31.94, 71
32.50, 100
33.21, 44
33.57, 43
45.85, 32
48.95, 36

abc: 15.322 3.281 10.020
angles: 90.00 126.93 90.00
Space group Cm (No. 8)
Asymmetric unit:
Ca 0.000 0.000 0.000 [2 per cell]
Sn 0.012 0.500 0.670 [2 per cell]
Sn 0.026 0.000 0.345 [2 per cell]
Sn 0.232 0.500 0.393 [2 per cell]
Sn 0.252 0.000 0.043 [2 per cell]
O 0.024 0.500 0.883 [2 per cell]
O 0.057 0.500 0.226 [2 per cell]
O 0.115 0.000 0.739 [2 per cell]
O 0.198 0.000 0.497 [2 per cell]
O 0.227 0.000 0.256 [2 per cell]
O 0.376 0.500 0.108 [2 per cell]
O 0.397 0.500 0.569 [2 per cell]
O 0.495 0.000 0.437 [2 per cell]

=====

Entry 4:
Starting from the PBE geometry in the Materials Project, the XRD peak list of NaSO4 was computed for λ = 1.5418 Å (Cu Kα).

Peak list (10 most intense, 5 to 70 degrees two-theta, by angle)
two_theta, intensity
19.02, 18
19.32, 64
24.71, 18
26.60, 100
27.31, 84
27.90, 75
30.51, 17
32.55, 21
37.33, 24
39.15, 33

abc: 4.878 5.713 6.195
angles: 101.55 103.10 97.66
Space group P-1 (No. 2)
Asymmetric unit:
Na 0.035 0.314 0.207 [2 per cell]
S 0.389 0.220 0.752 [2 per cell]
O 0.230 0.104 0.887 [2 per cell]
O 0.231 0.355 0.606 [2 per cell]
O 0.320 0.652 0.127 [2 per cell]
O 0.421 0.965 0.584 [2 per cell]

=====

Entry 5:
Starting from the PBE geometry in the Materials Project, the XRD peak list of SiO2 was computed for λ = 1.5418 Å (Cu Kα).

Peak list (10 most intense, 5 to 70 degrees two-theta, by angle)
two_theta, intensity
17.05, 10
21.44, 100
23.58, 31
32.08, 58
35.15, 20
43.68, 10
47.21, 9
53.35, 13
63.70, 10
68.04, 9

abc: 8.2888 8.2888 7.5469
angles: 90.00 90.00 120.00
Space group P-31c (No. 163)
Asymmetric unit:
Si 0.0605 0.3504 0.0726 [12 per cell]
O 0.0000 0.5000 0.0000 [6 per cell]
O 0.1435 0.3081 0.5883 [12 per cell]
O 0.1990 0.3981 0.2500 [6 per cell]

=====

Entry 6:
Starting from the PBE geometry in the Materials Project, the XRD peak list of AuSeCl7 was computed for λ = 1.5418 Å (Cu Kα).

Peak list (10 most intense, 5 to 70 degrees two-theta, by angle)
two_theta, intensity
11.05, 100
14.31, 92
14.75, 36
19.92, 48
20.63, 44
21.08, 29
22.17, 43
22.39, 24
29.88, 27
32.66, 50

abc: 9.077 10.506 13.049
angles: 90.00 108.47 90.00
Space group P2_1/c (No. 14)
Asymmetric unit:
Au 0.214 0.079 0.048 [4 per cell]
Se 0.233 0.720 0.997 [4 per cell]
Cl 0.057 0.240 0.948 [4 per cell]
Cl 0.102 0.607 0.856 [4 per cell]
Cl 0.164 0.543 0.389 [4 per cell]
Cl 0.272 0.201 0.202 [4 per cell]
Cl 0.277 0.571 0.123 [4 per cell]
Cl 0.367 0.584 0.648 [4 per cell]
Cl 0.457 0.707 0.966 [4 per cell]

=====

Entry 7:
Starting from the PBE geometry in the Materials Project, the XRD peak list of Te2Mo3WSe6 was computed for λ = 1.5418 Å (Cu Kα).

Peak list (10 most intense, 5 to 70 degrees two-theta, by angle)
two_theta, intensity
6.90, 59
11.51, 100
30.51, 45
32.69, 15
35.89, 90
38.63, 17
43.47, 58
45.25, 18
54.20, 34
66.72, 14

abc: 3.3848 3.3848 38.4395
angles: 90.00 90.00 120.00
Space group P3m1 (No. 156)
Asymmetric unit:
Te 0.0000 0.0000 0.0000 [1 per cell]
Te 0.0000 0.0000 0.0982 [1 per cell]
Mo 0.0000 0.0000 0.4855 [1 per cell]
Mo 0.0000 0.0000 0.8612 [1 per cell]
Mo 0.3333 0.6667 0.6734 [1 per cell]
W 0.3333 0.6667 0.0491 [1 per cell]
Se 0.0000 0.0000 0.6304 [1 per cell]
Se 0.0000 0.0000 0.7164 [1 per cell]
Se 0.3333 0.6667 0.4425 [1 per cell]
Se 0.3333 0.6667 0.5285 [1 per cell]
Se 0.3333 0.6667 0.8182 [1 per cell]
Se 0.3333 0.6667 0.9043 [1 per cell]

=====

Entry 8:
Starting from the PBE geometry in the Materials Project, the XRD peak list of CaLa3Si8 was computed for λ = 1.5418 Å (Cu Kα).

Peak list (10 most intense, 5 to 70 degrees two-theta, by angle)
two_theta, intensity
6.24, 24
21.76, 29
28.20, 48
32.26, 100
38.14, 43
42.39, 34
49.90, 29
51.68, 20
58.33, 25
67.50, 19

abc: 4.265 4.265 14.162
angles: 90.00 90.00 90.00
Space group P-4m2 (No. 115)
Asymmetric unit:
Ca 0.000 0.000 0.000 [1 per cell]
La 0.000 0.500 0.751 [2 per cell]
La 0.500 0.500 0.500 [1 per cell]
Si 0.000 0.000 0.415 [2 per cell]
Si 0.000 0.500 0.165 [2 per cell]
Si 0.000 0.500 0.334 [2 per cell]
Si 0.500 0.500 0.083 [2 per cell]

=====

Entry 9:
Starting from the PBE geometry in the Materials Project, the XRD peak list of GdErAl6 was computed for λ = 1.5418 Å (Cu Kα).

Peak list (10 most intense, 5 to 70 degrees two-theta, by angle)
two_theta, intensity
19.18, 56
25.09, 100
29.28, 57
35.24, 43
37.53, 32
38.93, 95
44.50, 22
48.29, 29
49.45, 24
60.73, 22

abc: 6.1004 6.1004 9.5865
angles: 90.00 90.00 120.00
Space group P6_3/mmc (No. 194)
Asymmetric unit:
Gd 0.0000 0.0000 0.0000 [2 per cell]
Er 0.3333 0.6667 0.2500 [2 per cell]
Al 0.0000 0.5000 0.0000 [6 per cell]
Al 0.1840 0.3680 0.7500 [6 per cell]

=====

Entry 10:
Starting from the PBE geometry in the Materials Project, the XRD peak list of BaNb6Bi6Pb2O27 was computed for λ = 1.5418 Å (Cu Kα).

Peak list (10 most intense, 5 to 70 degrees two-theta, by angle)
two_theta, intensity
13.90, 10
28.55, 100
31.96, 37
35.22, 13
39.11, 7
45.83, 22
48.29, 24
54.89, 34
59.14, 24
66.83, 7

abc: 3.960 3.960 76.441
angles: 90.00 90.00 90.00
Space group I4/mmm (No. 139)
Asymmetric unit:
Ba 0.000 0.000 0.000 [2 per cell]
Nb 0.000 0.000 0.137 [4 per cell]
Nb 0.000 0.000 0.196 [4 per cell]
Nb 0.000 0.000 0.470 [4 per cell]
Bi 0.000 0.000 0.067 [4 per cell]
Bi 0.000 0.000 0.266 [4 per cell]
Bi 0.000 0.000 0.400 [4 per cell]
Pb 0.000 0.000 0.333 [4 per cell]
O 0.000 0.000 0.113 [4 per cell]
O 0.000 0.000 0.167 [4 per cell]
O 0.000 0.000 0.221 [4 per cell]
O 0.000 0.000 0.446 [4 per cell]
O 0.000 0.000 0.500 [2 per cell]
O 0.000 0.500 0.027 [8 per cell]
O 0.000 0.500 0.083 [8 per cell]
O 0.000 0.500 0.140 [8 per cell]
O 0.000 0.500 0.193 [8 per cell]
O 0.000 0.500 0.250 [4 per cell]

=====

Entry 11:
Starting from the PBE geometry in the Materials Project, the XRD peak list of CrIr3 was computed for λ = 1.5418 Å (Cu Kα).

Peak list (10 most intense, 5 to 70 degrees two-theta, by angle)
two_theta, intensity
18.84, 5
28.03, 17
32.94, 7
38.22, 24
41.84, 25
43.79, 100
54.25, 4
55.86, 4
57.95, 15
69.08, 17

abc: 5.4387 5.4387 4.3181
angles: 90.00 90.00 120.00
Space group P6_3/mmc (No. 194)
Asymmetric unit:
Cr 0.3333 0.6667 0.2500 [2 per cell]
Ir 0.1692 0.3385 0.7500 [6 per cell]